Calculated X-ray diffraction stick pattern of AcHf2VO8 for a wavelength of 1.5418 Å, from a cell relaxed with GGA+U.
Kinematic intensities with the Lorentz-polarization factor, no thermal factor.

Crystal structure
Unit cell a=4.936 b=6.683 c=4.943 alpha=90.00 beta=92.86 gamma=90.00
Atoms (fractional coordinates):
Ac: 0.000 0.000 0.000
Hf: 0.500 0.262 0.500
Hf: 0.500 0.738 0.500
V: 0.000 0.500 0.000
O: 0.197 0.305 0.194
O: 0.197 0.695 0.194
O: 0.296 0.500 0.701
O: 0.329 0.000 0.663
O: 0.671 0.000 0.337
O: 0.704 0.500 0.299
O: 0.803 0.305 0.806
O: 0.803 0.695 0.806

Main lines, by angle (2θ from 10° to 90°):
hkl  d/Å  I (rel.)
1 1 0  3.969  24
1 0 -1  3.578  62
1 0 1  3.404  53
1 2 0  2.766  100
0 0 2  2.467  31
2 2 -1  1.867  42
2 2 1  1.816  36
0 2 3  1.475  22